Starting from a cell relaxed with PBE, the powder XRD pattern of TeMoSe3I was calculated for λ = 1.5418 Å (Cu Kα).
Neutral-atom scattering factors, no anomalous dispersion.

Main lines, sorted by position (15 to 90 degrees two-theta):
| 2theta | I (rel.) |
| --- | --- |
| 22.43 | 60 |
| 24.29 | 72 |
| 27.43 | 100 |
| 31.33 | 73 |
| 31.91 | 47 |
| 32.25 | 76 |
| 33.62 | 78 |
| 33.83 | 57 |
| 35.20 | 66 |
| 40.06 | 51 |

Structural model:
Cell lengths 6.5966, 8.2341, 8.6337 Å; angles 104.98, 112.43, 104.41 degrees
Positions (direct):
Te 0.1913 0.2608 0.2219
Te 0.8087 0.7392 0.7781
Mo 0.2825 0.0007 0.0004
Mo 0.7175 0.9993 0.9996
Se 0.0076 0.8270 0.1226
Se 0.3230 0.8995 0.7092
Se 0.3567 0.7104 0.8961
Se 0.6433 0.2896 0.1039
Se 0.6770 0.1005 0.2908
Se 0.9924 0.1730 0.8774
I 0.3780 0.2275 0.6133
I 0.6220 0.7725 0.3867

Starting from a cell relaxed with PBE, the powder XRD pattern of Pm5Mg was calculated for λ = 1.5418 Å (Cu Kα).
Neutral-atom scattering factors, no anomalous dispersion.

Main lines, sorted by position (15 to 90 degrees two-theta):
| 2theta | I (rel.) |
| --- | --- |
| 28.46 | 25 |
| 30.76 | 25 |
| 32.44 | 100 |
| 42.40 | 16 |
| 50.39 | 19 |
| 55.77 | 20 |
| 60.21 | 22 |
| 61.22 | 16 |
| 78.46 | 7 |
| 83.17 | 14 |

Structural model:
Cell lengths 3.6216, 3.6216, 17.4389 Å; angles 90.00, 90.00, 120.00 degrees
Positions (direct):
Pm 0.0000 0.0000 0.0000
Pm 0.0000 0.0000 0.3408
Pm 0.0000 0.0000 0.6592
Pm 0.6667 0.3333 0.1709
Pm 0.6667 0.3333 0.8291
Mg 0.6667 0.3333 0.5000

Starting from a cell relaxed with PBE, the powder XRD pattern of CdInGaTe2Se2 was calculated for λ = 1.5418 Å (Cu Kα).
Neutral-atom scattering factors, no anomalous dispersion.

Main lines, sorted by position (15 to 90 degrees two-theta):
| 2theta | I (rel.) |
| --- | --- |
| 20.68 | 17 |
| 25.10 | 100 |
| 25.79 | 77 |
| 32.64 | 14 |
| 32.85 | 14 |
| 40.29 | 27 |
| 42.08 | 21 |
| 42.56 | 38 |
| 42.73 | 38 |
| 49.78 | 14 |

Structural model:
Cell lengths 7.2281, 7.2281, 6.1788 Å; angles 114.17, 114.17, 107.10 degrees
Positions (direct):
Cd 0.0000 0.0000 0.0000
In 0.4997 0.5003 0.0000
Ga 0.7370 0.2630 0.5000
Te 0.1206 0.4212 0.5031
Te 0.5788 0.8794 0.4969
Se 0.3974 0.1213 0.0108
Se 0.8787 0.6026 0.9892

Starting from a cell relaxed with PBE, the powder XRD pattern of Cd3O2F2 was calculated for λ = 1.5418 Å (Cu Kα).
Neutral-atom scattering factors, no anomalous dispersion.

Main lines, sorted by position (15 to 90 degrees two-theta):
| 2theta | I (rel.) |
| --- | --- |
| 31.03 | 100 |
| 35.99 | 7 |
| 40.41 | 63 |
| 48.24 | 33 |
| 58.47 | 26 |
| 61.63 | 16 |
| 64.69 | 5 |
| 67.68 | 25 |
| 73.48 | 6 |
| 84.64 | 23 |

Structural model:
Cell lengths 6.1130, 6.1130, 6.1130 Å; angles 109.47, 109.47, 109.47 degrees
Positions (direct):
Cd 0.1107 0.7500 0.8607
Cd 0.2500 0.6393 0.3893
Cd 0.3893 0.2500 0.6393
Cd 0.6393 0.3893 0.2500
Cd 0.7500 0.8607 0.1107
Cd 0.8607 0.1107 0.7500
O 0.0000 0.8960 0.5000
O 0.5000 0.0000 0.8960
O 0.6040 0.6040 0.6040
O 0.8960 0.5000 0.0000
F 0.0000 0.3614 0.5000
F 0.1386 0.1386 0.1386
F 0.3614 0.5000 0.0000
F 0.5000 0.0000 0.3614

Starting from a cell relaxed with PBE, the powder XRD pattern of NdLuFe2Ge2C was calculated for λ = 1.5418 Å (Cu Kα).
Neutral-atom scattering factors, no anomalous dispersion.

Main lines, sorted by position (15 to 90 degrees two-theta):
| 2theta | I (rel.) |
| --- | --- |
| 24.67 | 39 |
| 33.48 | 90 |
| 33.73 | 64 |
| 34.84 | 48 |
| 35.95 | 100 |
| 36.17 | 52 |
| 39.35 | 64 |
| 40.93 | 40 |
| 45.35 | 49 |
| 65.04 | 30 |

Structural model:
Cell lengths 5.7436, 5.7436, 6.8842 Å; angles 126.09, 126.09, 40.75 degrees
Positions (direct):
Nd 0.0000 0.0000 0.0000
Lu 0.8846 0.8846 0.4207
Fe 0.2422 0.2422 0.6124
Fe 0.6320 0.6320 0.7887
Ge 0.2757 0.2757 0.9933
Ge 0.6038 0.6038 0.4195
C 0.4344 0.4344 0.6903

Starting from a cell relaxed with PBE, the powder XRD pattern of NaTa3Sb5 was calculated for λ = 1.5418 Å (Cu Kα).
Neutral-atom scattering factors, no anomalous dispersion.

Main lines, sorted by position (15 to 90 degrees two-theta):
| 2theta | I (rel.) |
| --- | --- |
| 17.78 | 39 |
| 30.30 | 32 |
| 31.05 | 27 |
| 37.25 | 40 |
| 37.46 | 71 |
| 40.79 | 25 |
| 41.56 | 100 |
| 47.75 | 23 |
| 64.72 | 22 |
| 79.39 | 21 |

Structural model:
Cell lengths 5.7610, 5.7610, 8.8493 Å; angles 90.00, 90.00, 120.00 degrees
Positions (direct):
Na 0.0000 0.0000 0.0000
Ta 0.0000 0.5000 0.5000
Ta 0.5000 0.0000 0.5000
Ta 0.5000 0.5000 0.5000
Sb 0.0000 0.0000 0.5000
Sb 0.3333 0.6667 0.2283
Sb 0.3333 0.6667 0.7717
Sb 0.6667 0.3333 0.2283
Sb 0.6667 0.3333 0.7717